No. 1
# Ca6Co3RhO12
Simulated powder X-ray diffraction pattern, CuKα. Input: a structure optimized by DFT (PBE+U).

Cell and atoms:
```
data_Ca6Co3RhO12
_space_group_name_H-M_alt 'R -3'
_space_group_IT_number 148
_space_group_name_Hall '-R 3'
_cell_length_a 9.1646
_cell_length_b 9.1646
_cell_length_c 10.7105
_cell_angle_alpha 90.00
_cell_angle_beta 90.00
_cell_angle_gamma 120.00
loop_
_atom_site_label
_atom_site_type_symbol
_atom_site_fract_x
_atom_site_fract_y
_atom_site_fract_z
Ca1 Ca 0.0032 0.6332 0.2508
Co1 Co 0.0000 0.0000 0.2561
Co2 Co 0.0000 0.0000 0.5000
Rh1 Rh 0.0000 0.0000 0.0000
O1 O 0.0213 0.1778 0.8764
O2 O 0.0217 0.8468 0.3869
```

Most intense lines, 2θ = 15–90°, sorted by position:
2theta	I (rel.)
19.4	90
31.8	37
33.9	100
40.6	39
41.9	19
45.4	56
47.1	36
53.9	19
61.6	32
71.3	15

=====

No. 2
# VOF
Simulated powder X-ray diffraction pattern, CuKα. Input: a structure optimized by DFT (PBE+U).

Cell and atoms:
```
data_VOF
_space_group_name_H-M_alt 'P 1 21 1'
_space_group_IT_number 4
_cell_length_a 6.225
_cell_length_b 4.714
_cell_length_c 9.982
_cell_angle_alpha 90.00
_cell_angle_beta 108.00
_cell_angle_gamma 90.00
loop_
_space_group_symop_operation_xyz
'x,y,z'
'-x,y+1/2,-z'
loop_
_atom_site_label
_atom_site_type_symbol
_atom_site_fract_x
_atom_site_fract_y
_atom_site_fract_z
V1 V 0.049 0.000 0.358
V2 V 0.194 0.475 0.124
V3 V 0.316 0.975 0.875
V4 V 0.424 0.434 0.608
O1 O 0.013 0.790 0.786
O2 O 0.235 0.282 0.719
O3 O 0.355 0.149 0.463
O4 O 0.387 0.662 0.031
F1 F 0.110 0.176 0.976
F2 F 0.134 0.680 0.521
F3 F 0.264 0.766 0.274
F4 F 0.488 0.263 0.230
```

Most intense lines, 2θ = 15–90°, sorted by position:
2theta	I (rel.)
26.7	100
34.5	24
34.5	24
39.6	24
52.1	14
52.3	29
52.4	15
54.9	17
66.2	11
66.3	12

=====

No. 3
# LiFe4B4O12
Simulated powder X-ray diffraction pattern, CuKα. Input: a structure optimized by DFT (PBE+U).

Cell and atoms:
```
data_LiFe4B4O12
_space_group_name_H-M_alt 'P 1'
_space_group_IT_number 1
_cell_length_a 5.230
_cell_length_b 5.272
_cell_length_c 10.097
_cell_angle_alpha 88.99
_cell_angle_beta 89.12
_cell_angle_gamma 60.79
loop_
_space_group_symop_operation_xyz
'x,y,z'
loop_
_atom_site_label
_atom_site_type_symbol
_atom_site_fract_x
_atom_site_fract_y
_atom_site_fract_z
Li1 Li 0.000 0.000 0.000
Fe1 Fe 0.013 0.623 0.220
Fe2 Fe 0.334 0.972 0.723
Fe3 Fe 0.340 0.329 0.966
Fe4 Fe 0.659 0.648 0.474
B1 B 0.333 0.304 0.472
B2 B 0.344 0.973 0.217
B3 B 0.671 0.649 0.971
B4 B 0.997 0.640 0.720
O1 O 0.031 0.879 0.728
O2 O 0.066 0.520 0.418
O3 O 0.122 0.914 0.194
O4 O 0.214 0.371 0.764
O5 O 0.318 0.236 0.176
O6 O 0.342 0.047 0.518
O7 O 0.423 0.901 0.924
O8 O 0.566 0.348 0.477
O9 O 0.605 0.765 0.276
O10 O 0.685 0.386 0.972
O11 O 0.735 0.662 0.673
O12 O 0.909 0.677 0.018
```

Most intense lines, 2θ = 15–90°, sorted by position:
2theta	I (rel.)
19.6	64
21.3	100
26.1	26
26.2	22
26.4	51
34.0	27
34.3	21
35.6	65
38.3	26
40.6	32

=====

No. 4
# LiVO2
Simulated powder X-ray diffraction pattern, CuKα. Input: a structure optimized by DFT (PBE+U).

Cell and atoms:
```
data_LiVO2
_space_group_name_H-M_alt 'P 2 2 2'
_space_group_IT_number 16
_cell_length_a 5.841
_cell_length_b 5.847
_cell_length_c 8.718
_cell_angle_alpha 90.00
_cell_angle_beta 90.00
_cell_angle_gamma 90.00
loop_
_space_group_symop_operation_xyz
'x,y,z'
'-x,-y,z'
'x,-y,-z'
'-x,y,-z'
loop_
_atom_site_label
_atom_site_type_symbol
_atom_site_fract_x
_atom_site_fract_y
_atom_site_fract_z
Li1 Li 0.000 0.000 0.000
Li2 Li 0.000 0.000 0.500
Li3 Li 0.248 0.247 0.249
Li4 Li 0.500 0.000 0.000
Li5 Li 0.500 0.500 0.500
V1 V 0.000 0.500 0.000
V2 V 0.000 0.500 0.500
V3 V 0.245 0.240 0.751
V4 V 0.500 0.000 0.500
V5 V 0.500 0.500 0.000
O1 O 0.000 0.000 0.247
O2 O 0.000 0.500 0.251
O3 O 0.247 0.259 0.988
O4 O 0.248 0.255 0.516
O5 O 0.500 0.000 0.268
O6 O 0.500 0.500 0.234
```

Most intense lines, 2θ = 15–90°, sorted by position:
2theta	I (rel.)
18.3	20
23.8	100
37.0	21
37.8	15
41.4	53
43.8	92
50.5	21
61.9	53
63.7	24
78.9	23

=====

No. 5
# VPO5
Simulated powder X-ray diffraction pattern, CuKα. Input: a structure optimized by DFT (PBE+U).

Cell and atoms:
```
data_VPO5
_space_group_name_H-M_alt 'P 4/n'
_space_group_IT_number 85
_cell_length_a 6.092
_cell_length_b 6.092
_cell_length_c 4.496
_cell_angle_alpha 90.00
_cell_angle_beta 90.00
_cell_angle_gamma 90.00
loop_
_space_group_symop_operation_xyz
'x,y,z'
'-x,-y,-z'
'-y+1/2,x,z'
'y+1/2,-x,-z'
'-x+1/2,-y+1/2,z'
'x+1/2,y+1/2,-z'
'y,-x+1/2,z'
'-y,x+1/2,-z'
loop_
_atom_site_label
_atom_site_type_symbol
_atom_site_fract_x
_atom_site_fract_y
_atom_site_fract_z
V1 V 0.250 0.250 0.214
P1 P 0.250 0.750 0.500
O1 O 0.051 0.803 0.700
O2 O 0.250 0.250 0.856
```

Most intense lines, 2θ = 15–90°, sorted by position:
2theta	I (rel.)
19.7	14
24.6	100
28.7	74
29.3	95
45.5	22
47.2	18
49.2	25
51.6	15
63.6	33
68.9	14

=====

No. 6
# Er2MgTl2W4O16
Simulated powder X-ray diffraction pattern, CuKα. Input: a structure optimized by DFT (PBE+U).

Cell and atoms:
```
data_Er2MgTl2W4O16
_space_group_name_H-M_alt 'C 1 2 1'
_space_group_IT_number 5
_cell_length_a 10.991
_cell_length_b 10.763
_cell_length_c 7.510
_cell_angle_alpha 90.00
_cell_angle_beta 129.34
_cell_angle_gamma 90.00
loop_
_space_group_symop_operation_xyz
'x,y,z'
'-x,y,-z'
'x+1/2,y+1/2,z'
'-x+1/2,y+1/2,-z'
loop_
_atom_site_label
_atom_site_type_symbol
_atom_site_fract_x
_atom_site_fract_y
_atom_site_fract_z
Er1 Er 0.000 0.000 0.000
Er2 Er 0.000 0.453 0.500
Mg1 Mg 0.000 0.890 0.500
Tl1 Tl 0.000 0.139 0.500
Tl2 Tl 0.000 0.435 0.000
W1 W 0.196 0.711 0.454
W2 W 0.196 0.734 0.953
O1 O 0.017 0.846 0.236
O2 O 0.024 0.618 0.715
O3 O 0.125 0.313 0.450
O4 O 0.135 0.135 0.951
O5 O 0.178 0.667 0.172
O6 O 0.197 0.799 0.699
O7 O 0.211 0.378 0.876
O8 O 0.217 0.068 0.371
```

Most intense lines, 2θ = 15–90°, sorted by position:
2theta	I (rel.)
26.7	100
27.0	30
27.9	24
29.0	86
30.8	52
32.7	35
32.9	37
46.0	20
48.6	40
60.2	22

=====

No. 7
# Li2MnF6
Simulated powder X-ray diffraction pattern, CuKα. Input: a structure optimized by DFT (PBE+U).

Cell and atoms:
```
data_Li2MnF6
_space_group_name_H-M_alt 'P -3 1 m'
_space_group_IT_number 162
_space_group_name_Hall '-P 3 2'
_cell_length_a 4.9300
_cell_length_b 4.9300
_cell_length_c 4.4357
_cell_angle_alpha 90.00
_cell_angle_beta 90.00
_cell_angle_gamma 120.00
loop_
_atom_site_label
_atom_site_type_symbol
_atom_site_fract_x
_atom_site_fract_y
_atom_site_fract_z
Li1 Li 0.3333 0.6667 0.0000
Mn1 Mn 0.0000 0.0000 0.5000
F1 F 0.0000 0.3079 0.2597
```

Most intense lines, 2θ = 15–90°, sorted by position:
2theta	I (rel.)
20.0	26
20.8	100
29.0	83
41.9	85
47.3	19
55.8	43
60.2	11
61.1	20
65.6	23
74.9	11

=====

No. 8
# LiV6O7F5
Simulated powder X-ray diffraction pattern, CuKα. Input: a structure optimized by DFT (PBE+U).

Cell and atoms:
```
data_LiV6O7F5
_space_group_name_H-M_alt 'P 1'
_space_group_IT_number 1
_cell_length_a 5.814
_cell_length_b 6.091
_cell_length_c 6.138
_cell_angle_alpha 100.73
_cell_angle_beta 100.40
_cell_angle_gamma 98.80
loop_
_space_group_symop_operation_xyz
'x,y,z'
loop_
_atom_site_label
_atom_site_type_symbol
_atom_site_fract_x
_atom_site_fract_y
_atom_site_fract_z
Li1 Li 0.000 0.000 0.000
V1 V 0.159 0.367 0.603
V2 V 0.307 0.627 0.134
V3 V 0.410 0.871 0.663
V4 V 0.602 0.177 0.340
V5 V 0.692 0.428 0.870
V6 V 0.857 0.680 0.380
O1 O 0.194 0.594 0.421
O2 O 0.420 0.196 0.586
O3 O 0.427 0.613 0.829
O4 O 0.572 0.432 0.177
O5 O 0.586 0.848 0.411
O6 O 0.828 0.446 0.588
O7 O 0.939 0.676 0.076
F1 F 0.064 0.908 0.673
F2 F 0.105 0.317 0.925
F3 F 0.330 0.968 0.093
F4 F 0.689 0.082 0.899
F5 F 0.941 0.127 0.318
```

Most intense lines, 2θ = 15–90°, sorted by position:
2theta	I (rel.)
15.1	46
19.7	30
30.9	100
31.1	86
31.9	60
32.6	81
44.3	34
51.3	38
53.0	35
53.6	34